Diffraction record for Sr2FeReO6. The X-ray powder pattern is calculated, not measured: it uses DFT lattice parameters and positions (GGA+U) and λ = 1.5418 Å (Cu Kα).

Crystal structure
Cell: 5.606 5.641 18.642 Å, 81.80 89.96 60.21°
Fractional positions:
Sr1 0.062 0.376 0.187
Sr2 0.187 0.125 0.562
Sr3 0.312 0.875 0.936
Sr4 0.437 0.626 0.311
Sr5 0.563 0.374 0.689
Sr6 0.688 0.125 0.064
Sr7 0.813 0.875 0.438
Sr8 0.938 0.624 0.813
Fe1 0.125 0.251 0.374
Fe2 0.375 0.752 0.122
Fe3 0.625 0.248 0.878
Fe4 0.875 0.749 0.626
Re1 0.000 0.500 0.000
Re2 0.250 0.000 0.749
Re3 0.500 0.500 0.500
Re4 0.750 0.000 0.251
O1 0.022 0.895 0.697
O2 0.031 0.860 0.180
O3 0.067 0.368 0.688
O4 0.183 0.132 0.062
O5 0.221 0.640 0.570
O6 0.229 0.605 0.053
O7 0.271 0.396 0.448
O8 0.281 0.358 0.929
O9 0.317 0.867 0.439
O10 0.435 0.632 0.811
O11 0.470 0.140 0.320
O12 0.477 0.105 0.802
O13 0.523 0.895 0.198
O14 0.530 0.860 0.680
O15 0.565 0.368 0.189
O16 0.683 0.133 0.561
O17 0.719 0.642 0.071
O18 0.729 0.604 0.552
O19 0.771 0.395 0.947
O20 0.779 0.360 0.430
O21 0.817 0.868 0.938
O22 0.933 0.632 0.312
O23 0.969 0.140 0.820
O24 0.978 0.105 0.303

Main lines, in order of falling intensity (2θ = 5–70°):
hkl	two_theta	I (rel.)
1 2 1	31.72	100
2 1 0	31.92	52
3 3 1	56.76	41
1 1 -1	19.31	36
2 2 6	45.77	31
0 3 2	56.39	21
0 2 -4	45.19	17
2 4 2	66.28	14